1.
Starting from a DFT-relaxed cell (PBE, Alexandria), the XRD peak list of TmBrCl was computed for Cu Kα.
Kinematic intensities with the Lorentz-polarization factor, no thermal factor.

Crystal structure
```
TmBrCl
1.0
3.7384 0.0000 0.0000
-1.8692 3.2375 0.0000
0.0000 0.0000 7.3007
Tm Br Cl
1 1 1
Direct
0.0000 0.0000 0.0000
0.3333 0.6667 0.7510
0.6667 0.3333 0.2232
```

Peak list (10 most intense, 15° ≤ 2θ ≤ 90°, in order of rising 2θ)
27.55°, rel. 22
30.20°, rel. 100
37.12°, rel. 80
46.69°, rel. 33
48.72°, rel. 28
50.40°, rel. 21
58.39°, rel. 15
62.79°, rel. 17
72.36°, rel. 16
83.28°, rel. 16

=====

2.
Starting from a DFT-relaxed cell (PBE, Alexandria), the XRD peak list of TmBrCl was computed for Cu Kα.
Kinematic intensities with the Lorentz-polarization factor, no thermal factor.

Crystal structure
```
TmBrCl
1.0
7.4920 0.0000 0.0000
-3.7460 6.4883 0.0000
0.0000 0.0000 6.7710
Tm Br Cl
3 3 3
Direct
0.0681 0.5018 0.0000
0.4337 0.9319 0.3333
0.4982 0.5663 0.6667
0.0230 0.7654 0.2483
0.2346 0.2576 0.9150
0.7424 0.9770 0.5816
0.4161 0.2640 0.4291
0.7360 0.1521 0.0958
0.8479 0.5839 0.7625
```

Peak list (10 most intense, 15° ≤ 2θ ≤ 90°, in order of rising 2θ)
18.94°, rel. 100
27.21°, rel. 16
29.77°, rel. 21
30.56°, rel. 15
35.75°, rel. 27
36.64°, rel. 18
39.07°, rel. 29
45.68°, rel. 17
55.32°, rel. 11
56.14°, rel. 11

=====

3.
Starting from a DFT-relaxed cell (PBE, Alexandria), the XRD peak list of UBr2Cl3 was computed for Cu Kα.
Kinematic intensities with the Lorentz-polarization factor, no thermal factor.

Crystal structure
```
UBr2Cl3
1.0
-2.6936 3.9048 6.7452
2.6936 -3.9048 6.7452
2.6936 3.9048 -6.7452
U Br Cl
1 2 3
Direct
0.0000 0.0000 0.0000
0.1000 0.8612 0.2388
0.6223 0.8612 0.7612
0.3538 0.1294 0.2244
0.9050 0.1294 0.7756
0.9993 0.4993 0.5000
```

Peak list (10 most intense, 15° ≤ 2θ ≤ 90°, in order of rising 2θ)
17.73°, rel. 100
20.02°, rel. 26
22.82°, rel. 26
24.02°, rel. 26
26.37°, rel. 30
33.26°, rel. 21
34.68°, rel. 46
35.16°, rel. 51
35.89°, rel. 30
49.18°, rel. 39

=====

4.
Starting from a DFT-relaxed cell (PBE, Alexandria), the XRD peak list of UBr4Cl was computed for Cu Kα.
Kinematic intensities with the Lorentz-polarization factor, no thermal factor.

Crystal structure
```
UBr4Cl
1.0
5.3896 0.0000 0.0000
-0.2541 11.6165 0.0000
-0.0007 -0.0034 12.1975
U Br Cl
2 8 2
Direct
0.0000 0.0000 0.0000
0.4993 0.5001 0.4998
0.0053 0.1699 0.1440
0.0069 0.1511 0.8381
0.4933 0.3492 0.3379
0.4955 0.3300 0.6437
0.5065 0.6699 0.3559
0.5074 0.6514 0.6617
0.9928 0.8489 0.1619
0.9944 0.8301 0.8560
0.5002 0.0001 0.0002
0.9976 0.4994 0.5016
```

Peak list (10 most intense, 15° ≤ 2θ ≤ 90°, in order of rising 2θ)
18.00°, rel. 100
18.30°, rel. 28
21.12°, rel. 31
31.76°, rel. 24
31.92°, rel. 38
33.22°, rel. 33
34.80°, rel. 13
39.46°, rel. 13
41.45°, rel. 20
46.37°, rel. 13

=====

5.
Starting from a DFT-relaxed cell (PBE, Alexandria), the XRD peak list of V3BrCl7 was computed for Cu Kα.
Kinematic intensities with the Lorentz-polarization factor, no thermal factor.

Crystal structure
```
V3BrCl7
1.0
6.2645 -3.6128 0.0000
6.2645 3.6128 0.0000
-5.8612 0.0000 6.3680
V Br Cl
3 1 7
Direct
0.0000 0.0000 0.0000
0.0002 0.5033 0.9999
0.5033 0.0002 0.9999
0.2834 0.2834 0.2473
0.2298 0.2298 0.7999
0.2302 0.7629 0.8002
0.2408 0.7725 0.2012
0.7314 0.7314 0.7793
0.7629 0.2302 0.8002
0.7725 0.2408 0.2012
0.7731 0.7731 0.2012
```

Peak list (10 most intense, 15° ≤ 2θ ≤ 90°, in order of rising 2θ)
15.58°, rel. 17
15.98°, rel. 37
31.06°, rel. 40
31.46°, rel. 19
32.28°, rel. 100
39.09°, rel. 34
41.09°, rel. 46
50.55°, rel. 47
51.24°, rel. 28
51.89°, rel. 14

=====

6.
Starting from a DFT-relaxed cell (PBE, Alexandria), the XRD peak list of V3BrCl12 was computed for Cu Kα.
Kinematic intensities with the Lorentz-polarization factor, no thermal factor.

Crystal structure
```
V3BrCl12
1.0
5.7682 3.3303 12.2931
-5.7682 3.3303 12.2931
0.0000 -6.6605 12.2931
V Br Cl
6 2 24
Direct
0.0279 0.3266 0.6455
0.1455 0.8266 0.5279
0.3266 0.6455 0.0279
0.5279 0.1455 0.8266
0.6455 0.0279 0.3266
0.8266 0.5279 0.1455
0.4318 0.4318 0.4318
0.9318 0.9318 0.9318
0.0344 0.7275 0.5895
0.0463 0.4193 0.0548
0.0548 0.0463 0.4193
0.0895 0.2275 0.5344
0.1429 0.7870 0.7045
0.2045 0.2870 0.6429
0.2275 0.5344 0.0895
0.2413 0.8530 0.8960
0.2870 0.6429 0.2045
0.3530 0.7413 0.3960
0.3960 0.3530 0.7413
0.4193 0.0548 0.0463
0.5344 0.0895 0.2275
0.5463 0.5548 0.9193
0.5548 0.9193 0.5463
0.5895 0.0344 0.7275
0.6429 0.2045 0.2870
0.7045 0.1429 0.7870
0.7275 0.5895 0.0344
0.7413 0.3960 0.3530
0.7870 0.7045 0.1429
0.8530 0.8960 0.2413
0.8960 0.2413 0.8530
0.9193 0.5463 0.5548
```

Peak list (10 most intense, 15° ≤ 2θ ≤ 90°, in order of rising 2θ)
16.98°, rel. 100
21.12°, rel. 39
23.68°, rel. 18
24.06°, rel. 11
26.76°, rel. 40
30.12°, rel. 22
30.57°, rel. 32
33.98°, rel. 24
44.08°, rel. 12
47.25°, rel. 18

=====

7.
Starting from a DFT-relaxed cell (PBE, Alexandria), the XRD peak list of WBrCl3 was computed for Cu Kα.
Kinematic intensities with the Lorentz-polarization factor, no thermal factor.

Crystal structure
```
WBrCl3
1.0
-3.3415 4.3874 5.0670
3.3415 -4.3874 5.0670
3.3415 4.3874 -5.0670
W Br Cl
2 2 6
Direct
0.0000 0.1985 0.1985
0.0000 0.8015 0.8015
0.1745 0.6745 0.5000
0.8255 0.3255 0.5000
0.1951 0.1951 0.0000
0.2614 0.2333 0.4946
0.2614 0.7667 0.0281
0.7386 0.2333 0.9719
0.7386 0.7667 0.5054
0.8049 0.8049 0.0000
```

Peak list (10 most intense, 15° ≤ 2θ ≤ 90°, in order of rising 2θ)
17.50°, rel. 84
20.24°, rel. 94
31.84°, rel. 73
32.09°, rel. 100
38.23°, rel. 34
39.29°, rel. 85
41.15°, rel. 45
45.96°, rel. 31
49.43°, rel. 56
53.11°, rel. 44

=====

8.
Starting from a DFT-relaxed cell (PBE, Alexandria), the XRD peak list of W2Br4Cl was computed for Cu Kα.
Kinematic intensities with the Lorentz-polarization factor, no thermal factor.

Crystal structure
```
W2Br4Cl
1.0
0.0000 8.6929 5.7945
4.0565 0.0000 5.7945
4.0565 8.6929 0.0000
W Br Cl
4 8 2
Direct
0.0206 0.9794 0.1091
0.1409 0.3591 0.2294
0.3591 0.1409 0.2706
0.9794 0.0206 0.8909
0.2104 0.5981 0.9082
0.3188 0.8192 0.4824
0.3418 0.9666 0.0396
0.5981 0.2104 0.2834
0.7676 0.8704 0.9312
0.8192 0.3188 0.3796
0.8704 0.7676 0.4308
0.9666 0.3418 0.6519
0.1828 0.1828 0.8172
0.4328 0.4328 0.0672
```

Peak list (10 most intense, 15° ≤ 2θ ≤ 90°, in order of rising 2θ)
18.40°, rel. 100
26.83°, rel. 24
29.90°, rel. 50
34.44°, rel. 48
34.61°, rel. 41
36.49°, rel. 29
37.51°, rel. 29
39.61°, rel. 28
40.82°, rel. 33
48.73°, rel. 26

=====

9.
Starting from a DFT-relaxed cell (PBE, Alexandria), the XRD peak list of WBr2Cl2 was computed for Cu Kα.
Kinematic intensities with the Lorentz-polarization factor, no thermal factor.

Crystal structure
```
WBr2Cl2
1.0
-3.3912 4.3032 5.1733
3.3912 -4.3032 5.1733
3.3912 4.3032 -5.1733
W Br Cl
2 4 4
Direct
0.0000 0.1985 0.1985
0.0000 0.8015 0.8015
0.1690 0.6690 0.5000
0.2060 0.2060 0.0000
0.7940 0.7940 0.0000
0.8310 0.3310 0.5000
0.2670 0.2324 0.4994
0.2670 0.7676 0.0346
0.7330 0.2324 0.9654
0.7330 0.7676 0.5006
```

Peak list (10 most intense, 15° ≤ 2θ ≤ 90°, in order of rising 2θ)
17.14°, rel. 41
20.64°, rel. 97
31.54°, rel. 99
32.38°, rel. 60
38.00°, rel. 40
38.68°, rel. 100
41.99°, rel. 35
45.04°, rel. 53
49.29°, rel. 59
53.45°, rel. 41

=====

10.
Starting from a DFT-relaxed cell (PBE, Alexandria), the XRD peak list of W4BrCl7 was computed for Cu Kα.
Kinematic intensities with the Lorentz-polarization factor, no thermal factor.

Crystal structure
```
W4BrCl7
1.0
6.4972 0.0000 0.0000
-0.2190 7.9480 0.0000
-3.0064 -2.7380 14.3838
W Br Cl
8 2 14
Direct
0.0000 0.0000 0.0000
0.0201 0.8535 0.2848
0.1006 0.7429 0.9191
0.3599 0.8563 0.3843
0.6690 0.6537 0.3367
0.7250 0.6083 0.8624
0.8047 0.8761 0.8130
0.9285 0.8648 0.4352
0.3096 0.9757 0.5487
0.3209 0.1584 0.0970
0.1559 0.0269 0.8637
0.2338 0.1247 0.3369
0.4348 0.7912 0.2265
0.4530 0.7247 0.7522
0.4559 0.5950 0.4396
0.4835 0.6544 0.9671
0.6549 0.0649 0.9270
0.7527 0.3882 0.7444
0.7961 0.1274 0.4753
0.8529 0.5723 0.2103
0.8576 0.9607 0.1333
0.8685 0.8135 0.6634
0.9516 0.5574 0.4469
0.9937 0.4921 0.9734
```

Peak list (10 most intense, 15° ≤ 2θ ≤ 90°, in order of rising 2θ)
15.11°, rel. 100
16.57°, rel. 33
17.41°, rel. 47
18.26°, rel. 28
26.65°, rel. 26
35.11°, rel. 19
37.09°, rel. 25
37.18°, rel. 22
40.55°, rel. 27
47.43°, rel. 19

=====

11.
Starting from a DFT-relaxed cell (PBE, Alexandria), the XRD peak list of WBrCl2 was computed for Cu Kα.
Kinematic intensities with the Lorentz-polarization factor, no thermal factor.

Crystal structure
```
WBrCl2
1.0
3.7596 0.0000 0.0000
0.0000 2.4262 6.8114
0.0000 -2.4262 6.8114
W Br Cl
1 1 2
Direct
0.0000 0.0000 0.0000
0.5000 0.1320 0.1320
0.0000 0.4701 0.4701
0.5000 0.8807 0.8807
```

Peak list (10 most intense, 15° ≤ 2θ ≤ 90°, in order of rising 2θ)
19.42°, rel. 100
27.09°, rel. 43
35.57°, rel. 43
36.12°, rel. 45
37.05°, rel. 20
39.43°, rel. 14
45.15°, rel. 25
46.50°, rel. 20
52.30°, rel. 28
52.65°, rel. 15

=====

12.
Starting from a DFT-relaxed cell (PBE, Alexandria), the XRD peak list of CoBr was computed for Cu Kα.
Kinematic intensities with the Lorentz-polarization factor, no thermal factor.

Crystal structure
```
CoBr
1.0
-5.5330 5.5330 1.8145
5.5330 -5.5330 1.8145
5.5330 5.5330 -1.8145
Co Br
4 4
Direct
0.0717 0.5809 0.6526
0.4191 0.0717 0.4908
0.5809 0.9283 0.5092
0.9283 0.4191 0.3474
0.2367 0.4360 0.6727
0.4360 0.7633 0.1993
0.5640 0.2367 0.8007
0.7633 0.5640 0.3273
```

Peak list (10 most intense, 15° ≤ 2θ ≤ 90°, in order of rising 2θ)
16.02°, rel. 20
22.73°, rel. 19
25.45°, rel. 69
25.84°, rel. 25
30.55°, rel. 42
38.41°, rel. 80
41.86°, rel. 22
48.16°, rel. 100
49.42°, rel. 28
50.29°, rel. 17